Record 1
For Li3Mn4P6O24, a cell relaxed with GGA+U gives the theoretical XRD peak list in this record (CuKα).

Largest 10 diffraction maxima, sorted by position, 2θ = 10–80°:
index, two_theta, I (rel.)
1 1 1, 14.6, 54
1 1 -1, 20.5, 48
1 -1 1, 20.8, 44
1 -1 0, 24.1, 34
2 1 0, 24.3, 37
1 -1 2, 24.5, 100
2 0 0, 29.2, 36
2 2 2, 29.5, 34
0 2 -2, 29.6, 34
1 2 -2, 33.0, 34

Atomic structure:
```
data_Li3Mn4P6O24
_space_group_name_H-M_alt 'P 1'
_space_group_IT_number 1
_space_group_name_Hall 'P 1'
_cell_length_a 8.473
_cell_length_b 8.511
_cell_length_c 8.604
_cell_angle_alpha 89.72
_cell_angle_beta 60.90
_cell_angle_gamma 60.39
loop_
_atom_site_label
_atom_site_type_symbol
_atom_site_fract_x
_atom_site_fract_y
_atom_site_fract_z
Li1 Li 0.000 0.000 0.000
Li2 Li 0.172 0.338 0.497
Li3 Li 0.608 0.862 0.785
Mn1 Mn 0.474 0.326 0.020
Mn2 Mn 0.485 0.815 0.513
Mn3 Mn 0.906 0.119 0.379
Mn4 Mn 0.915 0.613 0.881
P1 P 0.393 0.014 0.202
P2 P 0.420 0.212 0.696
P3 P 0.689 0.441 0.202
P4 P 0.703 0.490 0.689
P5 P 0.975 0.933 0.702
P6 P 0.983 0.717 0.191
O1 O 0.014 0.697 0.998
O2 O 0.168 0.906 0.710
O3 O 0.183 0.559 0.186
O4 O 0.206 0.025 0.200
O5 O 0.224 0.357 0.693
O6 O 0.368 0.210 0.215
O7 O 0.384 0.982 0.383
O8 O 0.387 0.240 0.891
O9 O 0.466 0.010 0.660
O10 O 0.528 0.596 0.396
O11 O 0.540 0.431 0.158
O12 O 0.545 0.452 0.841
O13 O 0.553 0.690 0.684
O14 O 0.596 0.859 0.020
O15 O 0.609 0.220 0.545
O16 O 0.772 0.097 0.890
O17 O 0.791 0.711 0.345
O18 O 0.842 0.241 0.206
O19 O 0.846 0.482 0.054
O20 O 0.855 0.505 0.728
O21 O 0.869 0.336 0.495
O22 O 0.950 0.912 0.230
O23 O 0.968 0.755 0.701
O24 O 0.990 0.975 0.525
```

***

Record 2
For HoCr2O6, a cell relaxed with GGA+U gives the theoretical XRD peak list in this record (CuKα).

Largest 10 diffraction maxima, sorted by position, 2θ = 10–80°:
index, two_theta, I (rel.)
1 1 0, 20.2, 71
1 0 1, 21.1, 100
1 1 1, 26.7, 27
2 1 1, 34.0, 93
0 0 2, 35.1, 41
0 2 1, 37.4, 26
1 1 2, 40.8, 25
0 2 2, 48.8, 18
4 0 0, 49.0, 19
2 1 3, 62.2, 27

Atomic structure:
```
data_HoCr2O6
_space_group_name_H-M_alt 'P m n 21'
_space_group_IT_number 31
_space_group_name_Hall 'P 2ac -2'
_cell_length_a 7.441
_cell_length_b 5.453
_cell_length_c 5.118
_cell_angle_alpha 90.00
_cell_angle_beta 90.00
_cell_angle_gamma 90.00
loop_
_atom_site_label
_atom_site_type_symbol
_atom_site_fract_x
_atom_site_fract_y
_atom_site_fract_z
Ho1 Ho 0.000 0.162 0.000
Cr1 Cr 0.244 0.721 0.007
O1 O 0.000 0.278 0.578
O2 O 0.000 0.760 0.898
O3 O 0.195 0.439 0.178
O4 O 0.212 0.956 0.262
```

***

Record 3
For Na5Co2PC4O16, a cell relaxed with GGA+U gives the theoretical XRD peak list in this record (CuKα).

Largest 10 diffraction maxima, sorted by position, 2θ = 10–80°:
index, two_theta, I (rel.)
1 1 1, 10.9, 86
0 2 2, 17.8, 29
1 1 3, 20.9, 65
1 3 1, 21.1, 100
1 1 5, 32.9, 42
1 5 1, 33.3, 99
0 4 4, 36.1, 67
4 4 0, 36.4, 31
1 7 1, 46.4, 29
2 6 6, 57.1, 36

Atomic structure:
```
data_Na5Co2PC4O16
_space_group_name_H-M_alt 'F d d 2'
_space_group_IT_number 43
_space_group_name_Hall 'F 2 -2d'
_cell_length_a 13.972
_cell_length_b 13.985
_cell_length_c 14.145
_cell_angle_alpha 90.00
_cell_angle_beta 90.00
_cell_angle_gamma 90.00
loop_
_atom_site_label
_atom_site_type_symbol
_atom_site_fract_x
_atom_site_fract_y
_atom_site_fract_z
Na1 Na 0.000 0.000 0.000
Na2 Na 0.008 0.213 0.789
Na3 Na 0.037 0.259 0.040
Co1 Co 0.123 0.123 0.412
P1 P 0.000 0.000 0.791
C1 C 0.090 0.410 0.875
C2 C 0.092 0.091 0.196
O1 O 0.021 0.393 0.934
O2 O 0.022 0.106 0.137
O3 O 0.064 0.065 0.854
O4 O 0.065 0.436 0.228
O5 O 0.099 0.272 0.432
O6 O 0.100 0.229 0.641
O7 O 0.102 0.356 0.802
O8 O 0.105 0.150 0.267
```

***

Record 4
For MgCr2O4, a cell relaxed with GGA+U gives the theoretical XRD peak list in this record (CuKα).

Largest 10 diffraction maxima, sorted by position, 2θ = 10–80°:
index, two_theta, I (rel.)
0 0 2, 18.1, 38
1 1 0, 32.0, 26
0 2 3, 33.1, 100
0 2 4, 41.2, 18
1 3 0, 41.7, 35
1 3 1, 42.7, 44
1 3 2, 45.8, 51
1 1 5, 57.3, 23
2 0 0, 63.6, 16
0 6 3, 64.4, 45

Atomic structure:
```
data_MgCr2O4
_space_group_name_H-M_alt 'P b c m'
_space_group_IT_number 57
_space_group_name_Hall '-P 2c 2b'
_cell_length_a 2.926
_cell_length_b 9.670
_cell_length_c 9.818
_cell_angle_alpha 90.00
_cell_angle_beta 90.00
_cell_angle_gamma 90.00
loop_
_atom_site_label
_atom_site_type_symbol
_atom_site_fract_x
_atom_site_fract_y
_atom_site_fract_z
Mg1 Mg 0.212 0.141 0.250
Cr1 Cr 0.260 0.617 0.572
O1 O 0.238 0.250 0.000
O2 O 0.243 0.520 0.114
O3 O 0.282 0.713 0.750
```

***

Record 5
For MnAsH2O5, a cell relaxed with GGA+U gives the theoretical XRD peak list in this record (CuKα).

Largest 10 diffraction maxima, sorted by position, 2θ = 10–80°:
index, two_theta, I (rel.)
1 0 0, 17.4, 100
0 1 1, 24.2, 87
1 -1 1, 25.4, 38
1 0 -2, 26.2, 44
1 1 -2, 29.6, 39
1 -1 2, 33.6, 68
2 0 -1, 33.9, 28
-2 1 1, 36.6, 24
0 2 1, 40.9, 25
-1 2 3, 57.3, 22

Atomic structure:
```
data_MnAsH2O5
_space_group_name_H-M_alt 'P -1'
_space_group_IT_number 2
_space_group_name_Hall '-P 1'
_cell_length_a 5.354
_cell_length_b 5.364
_cell_length_c 7.621
_cell_angle_alpha 103.94
_cell_angle_beta 103.89
_cell_angle_gamma 97.68
loop_
_atom_site_label
_atom_site_type_symbol
_atom_site_fract_x
_atom_site_fract_y
_atom_site_fract_z
Mn1 Mn 0.000 0.000 0.000
Mn2 Mn 0.500 0.500 0.500
As1 As 0.067 0.432 0.750
H1 H 0.381 0.950 0.298
H2 H 0.450 0.881 0.798
O1 O 0.163 0.281 0.922
O2 O 0.169 0.768 0.846
O3 O 0.216 0.336 0.576
O4 O 0.270 0.667 0.344
O5 O 0.391 0.109 0.250
```

***

Record 6
For BaCaDyFeO6, a cell relaxed with GGA+U gives the theoretical XRD peak list in this record (CuKα).

Largest 10 diffraction maxima, sorted by position, 2θ = 10–80°:
index, two_theta, I (rel.)
1 1 1, 18.8, 26
2 0 0, 21.7, 6
2 2 0, 30.9, 100
3 1 1, 36.4, 19
4 0 0, 44.3, 33
3 3 1, 48.5, 10
4 2 2, 55.0, 39
3 3 3, 58.6, 6
4 4 0, 64.4, 19
6 2 0, 73.2, 17

Atomic structure:
```
data_BaCaDyFeO6
_space_group_name_H-M_alt 'F -4 3 m'
_space_group_IT_number 216
_space_group_name_Hall 'F -4 2 3'
_cell_length_a 8.182
_cell_length_b 8.182
_cell_length_c 8.182
_cell_angle_alpha 90.00
_cell_angle_beta 90.00
_cell_angle_gamma 90.00
loop_
_atom_site_label
_atom_site_type_symbol
_atom_site_fract_x
_atom_site_fract_y
_atom_site_fract_z
Ba1 Ba 0.000 0.000 0.000
Ca1 Ca 0.000 0.000 0.500
Dy1 Dy 0.250 0.250 0.750
Fe1 Fe 0.250 0.250 0.250
O1 O 0.019 0.250 0.250
```

***

Record 7
For LiVCrP2H2O10, a cell relaxed with GGA+U gives the theoretical XRD peak list in this record (CuKα).

Largest 10 diffraction maxima, sorted by position, 2θ = 10–80°:
index, two_theta, I (rel.)
1 -1 0, 18.0, 49
0 0 2, 18.3, 50
0 1 1, 18.7, 56
1 -1 2, 25.6, 32
1 -2 1, 26.2, 32
0 1 -3, 26.4, 63
1 1 -2, 27.1, 100
-1 2 1, 29.4, 78
1 -2 3, 34.7, 36
2 -1 1, 36.4, 34

Atomic structure:
```
data_LiVCrP2H2O10
_space_group_name_H-M_alt 'P -1'
_space_group_IT_number 2
_space_group_name_Hall '-P 1'
_cell_length_a 5.310
_cell_length_b 7.365
_cell_length_c 10.371
_cell_angle_alpha 105.45
_cell_angle_beta 96.98
_cell_angle_gamma 110.17
loop_
_atom_site_label
_atom_site_type_symbol
_atom_site_fract_x
_atom_site_fract_y
_atom_site_fract_z
Li1 Li 0.154 0.067 0.218
V1 V 0.000 0.500 0.000
V2 V 0.500 0.000 0.500
Cr1 Cr 0.249 0.745 0.748
P1 P 0.148 0.298 0.526
P2 P 0.348 0.200 0.976
H1 H 0.065 0.596 0.257
H2 H 0.462 0.901 0.246
O1 O 0.009 0.536 0.820
O2 O 0.068 0.238 0.368
O3 O 0.109 0.801 0.418
O4 O 0.120 0.276 0.936
O5 O 0.216 0.969 0.895
O6 O 0.272 0.529 0.596
O7 O 0.369 0.210 0.561
O8 O 0.391 0.697 0.075
O9 O 0.413 0.239 0.132
O10 O 0.488 0.034 0.313
```